# 1
Computed powder XRD pattern
Compound: LiP4WO12
Radiation: a wavelength of 1.5418 Å
Structure: a cell relaxed with PBE+U
Lines closer than 0.1° are merged.

Lattice parameters (Å, degrees): 7.502 7.502 10.362 113.36 113.36 69.41
Atoms (fractional coordinates):
Li  0.015  0.985  0.750
Li  0.985  0.015  0.250
P  0.259  0.727  0.025
P  0.273  0.741  0.475
P  0.305  0.322  0.809
P  0.322  0.305  0.309
P  0.678  0.695  0.691
P  0.695  0.678  0.191
P  0.727  0.259  0.525
P  0.741  0.273  0.975
W  0.000  0.500  0.500
W  0.500  0.000  0.000
O  0.099  0.843  0.095
O  0.137  0.294  0.329
O  0.157  0.901  0.405
O  0.196  0.696  0.572
O  0.199  0.346  0.659
O  0.218  0.508  0.931
O  0.294  0.137  0.829
O  0.304  0.804  0.928
O  0.328  0.532  0.349
O  0.346  0.199  0.159
O  0.468  0.672  0.151
O  0.492  0.782  0.569
O  0.508  0.218  0.431
O  0.532  0.328  0.849
O  0.654  0.801  0.841
O  0.672  0.468  0.651
O  0.696  0.196  0.072
O  0.706  0.863  0.171
O  0.782  0.492  0.069
O  0.801  0.654  0.341
O  0.804  0.304  0.428
O  0.843  0.099  0.595
O  0.863  0.706  0.671
O  0.901  0.157  0.905

Top 10 peaks for 2θ from 15° to 90°, by intensity:
2θ/deg, intensity
28.70, 100
18.66, 94
24.11, 73
19.56, 45
29.84, 41
16.41, 33
27.97, 32
20.80, 27
36.12, 25
33.16, 25

# 2
Computed powder XRD pattern
Compound: Li2P2WO8
Radiation: a wavelength of 1.5418 Å
Structure: a cell relaxed with PBE+U
Lines closer than 0.1° are merged.

Lattice parameters (Å, degrees): 4.950 4.950 7.452 90.00 90.00 120.00
Atoms (fractional coordinates):
Li  0.333  0.667  0.190
Li  0.667  0.333  0.810
P  0.333  0.667  0.742
P  0.667  0.333  0.258
W  0.000  0.000  0.500
O  0.046  0.686  0.666
O  0.314  0.360  0.666
O  0.333  0.667  0.941
O  0.360  0.046  0.334
O  0.640  0.954  0.666
O  0.667  0.333  0.059
O  0.686  0.640  0.334
O  0.954  0.314  0.334

Top 10 peaks for 2θ from 15° to 90°, by intensity:
2θ/deg, intensity
23.95, 100
31.82, 45
43.94, 31
20.72, 23
36.30, 22
42.04, 19
58.28, 16
49.03, 14
38.32, 14
62.51, 13